Starting from DFT lattice parameters and positions (PBE), the powder diffraction line list of Cs2U3CdO12 was simulated for λ = 1.5418 Å (Cu Kα).

Structural model:
Unit cell a=8.1182 b=8.1182 c=18.6374 alpha=90.00 beta=90.00 gamma=120.00
Space group R-3m (No. 166, hexagonal axes)
Inequivalent atoms, fractional coordinates:
1 Cs 0.0000 0.0000 0.1214
2 U 0.0000 0.5000 0.0000
3 Cd 0.0000 0.0000 0.5000
4 O 0.0532 0.5266 0.1016
5 O 0.0800 0.5400 0.3486

Peak list (10 most intense, 10 to 90 degrees two-theta, by intensity)
- 27.10 deg, I 100, hkl 2 0 2
- 25.79 deg, I 72, hkl 0 2 1
- 26.23 deg, I 62, hkl 1 1 3
- 44.65 deg, I 37, hkl 2 2 0
- 14.26 deg, I 32, hkl 0 0 3
- 46.78 deg, I 31, hkl 2 0 8
- 13.46 deg, I 22, hkl 1 0 1
- 53.01 deg, I 22, hkl 0 4 2
- 41.17 deg, I 21, hkl 3 0 3
- 22.90 deg, I 19, hkl 1 0 4